Starting from a crystal structure in Alexandria, relaxed with PBE, the PXRD pattern of Li6AlAg was computed for λ = 1.5418 Å (Cu Kα).
Peak positions follow from Bragg's law for the DFT cell and can differ from measured ones.

Structure:
```
data_Li6AlAg
_chemical_formula_sum 'Li12 Al2 Ag2'
_symmetry_space_group_name_H-M 'A m m 2'
_symmetry_Int_Tables_number 38
_cell_length_a 4.768
_cell_length_b 5.598
_cell_length_c 10.101
_cell_angle_alpha 90.00
_cell_angle_beta 90.00
_cell_angle_gamma 90.00
loop_
_symmetry_equiv_pos_as_xyz
'x,y,z'
'-x,-y,z'
'-x,y,z'
'x,-y,z'
'x,y+1/2,z+1/2'
'-x,-y+1/2,z+1/2'
'-x,y+1/2,z+1/2'
'x,-y+1/2,z+1/2'
loop_
_atom_site_label
_atom_site_type_symbol
_atom_site_fract_x
_atom_site_fract_y
_atom_site_fract_z
Li1 Li 0.000 0.000 0.000
Li2 Li 0.000 0.000 0.498
Li3 Li 0.000 0.247 0.737
Li4 Li 0.500 0.249 0.401
Al1 Al 0.500 0.000 0.653
Ag1 Ag 0.500 0.000 0.153
```

The 10 most intense peaks (10 to 80 degrees two-theta), in order of rising 2θ:
- (0 0 2), 5.050 Å, I 100.0
- (0 1 1), 4.897 Å, I 75.6
- (1 0 0), 4.768 Å, I 85.5
- (1 0 2), 3.467 Å, I 76.8
- (1 1 1), 3.416 Å, I 65.0
- (1 1 3), 2.469 Å, I 27.1
- (0 2 2), 2.448 Å, I 36.7
- (1 2 0), 2.414 Å, I 29.0
- (1 0 4), 2.232 Å, I 36.6
- (1 2 2), 2.178 Å, I 64.7

Starting from a crystal structure in Alexandria, relaxed with PBE, the PXRD pattern of Li5AlAg3 was computed for λ = 1.5418 Å (Cu Kα).
Peak positions follow from Bragg's law for the DFT cell and can differ from measured ones.

Structure:
```
data_Li5AlAg3
_chemical_formula_sum 'Li20 Al4 Ag12'
_symmetry_space_group_name_H-M 'C 1 2/m 1'
_symmetry_Int_Tables_number 12
_cell_length_a 7.421
_cell_length_b 9.707
_cell_length_c 10.587
_cell_angle_alpha 90.00
_cell_angle_beta 103.94
_cell_angle_gamma 90.00
loop_
_symmetry_equiv_pos_as_xyz
'x,y,z'
'-x,-y,-z'
'-x,y,-z'
'x,-y,z'
'x+1/2,y+1/2,z'
'-x+1/2,-y+1/2,-z'
'-x+1/2,y+1/2,-z'
'x+1/2,-y+1/2,z'
loop_
_atom_site_label
_atom_site_type_symbol
_atom_site_fract_x
_atom_site_fract_y
_atom_site_fract_z
Li1 Li 0.000 0.236 0.000
Li2 Li 0.140 0.255 0.659
Li3 Li 0.156 0.000 0.341
Li4 Li 0.167 0.000 0.846
Al1 Al 0.010 0.500 0.249
Ag1 Ag 0.000 0.500 0.000
Ag2 Ag 0.000 0.500 0.500
Ag3 Ag 0.170 0.000 0.588
Ag4 Ag 0.176 0.000 0.098
```

The 10 most intense peaks (10 to 80 degrees two-theta), in order of rising 2θ:
- (0 0 2), 5.138 Å, I 24.9
- (0 2 0), 4.853 Å, I 100.0
- (1 1 -2), 4.274 Å, I 19.0
- (1 1 2), 3.522 Å, I 54.1
- (0 4 0), 2.427 Å, I 19.5
- (2 0 -4), 2.380 Å, I 16.5
- (3 1 0), 2.331 Å, I 31.5
- (1 1 4), 2.195 Å, I 30.6
- (2 2 -4), 2.137 Å, I 24.1
- (3 3 0), 1.928 Å, I 17.7

Starting from a crystal structure in Alexandria, relaxed with PBE, the PXRD pattern of Li12AlAg7 was computed for λ = 1.5418 Å (Cu Kα).
Peak positions follow from Bragg's law for the DFT cell and can differ from measured ones.

Structure:
```
data_Li12AlAg7
_chemical_formula_sum 'Li36 Al3 Ag21'
_symmetry_space_group_name_H-M 'R -3'
_symmetry_Int_Tables_number 148
_symmetry_space_group_name_Hall '-R 3'
_cell_length_a 10.0923
_cell_length_b 10.0923
_cell_length_c 11.5723
_cell_angle_alpha 90.00
_cell_angle_beta 90.00
_cell_angle_gamma 120.00
loop_
_atom_site_label
_atom_site_type_symbol
_atom_site_fract_x
_atom_site_fract_y
_atom_site_fract_z
Li1 Li 0.0306 0.4494 0.2058
Li2 Li 0.0653 0.5970 0.5841
Al1 Al 0.0000 0.0000 0.5000
Ag1 Ag 0.0000 0.0000 0.0000
Ag2 Ag 0.0378 0.1866 0.3119
```

The 10 most intense peaks (10 to 80 degrees two-theta), in order of rising 2θ:
- (1 1 0), 5.046 Å, I 51.6
- (0 1 2), 4.825 Å, I 32.3
- (0 2 1), 4.088 Å, I 35.6
- (0 0 3), 3.857 Å, I 92.7
- (3 -1 1), 3.177 Å, I 66.0
- (1 2 2), 2.869 Å, I 45.3
- (4 -3 1), 2.373 Å, I 91.9
- (3 1 2), 2.236 Å, I 100.0
- (2 1 4), 2.176 Å, I 33.9
- (4 -3 4), 1.858 Å, I 32.7

Starting from a crystal structure in Alexandria, relaxed with PBE, the PXRD pattern of Li2Al4Ag was computed for λ = 1.5418 Å (Cu Kα).
Peak positions follow from Bragg's law for the DFT cell and can differ from measured ones.

Structure:
```
data_Li2Al4Ag
_chemical_formula_sum 'Li4 Al8 Ag2'
_symmetry_space_group_name_H-M 'P m n a'
_symmetry_Int_Tables_number 53
_cell_length_a 5.194
_cell_length_b 5.120
_cell_length_c 8.905
_cell_angle_alpha 90.00
_cell_angle_beta 90.00
_cell_angle_gamma 90.00
loop_
_symmetry_equiv_pos_as_xyz
'x,y,z'
'-x,-y,-z'
'-x+1/2,-y,z+1/2'
'x+1/2,y,-z+1/2'
'x,-y,-z'
'-x,y,z'
'-x+1/2,y,-z+1/2'
'x+1/2,-y,z+1/2'
loop_
_atom_site_label
_atom_site_type_symbol
_atom_site_fract_x
_atom_site_fract_y
_atom_site_fract_z
Li1 Li 0.000 0.249 0.001
Al1 Al 0.000 0.498 0.328
Al2 Al 0.250 0.002 0.750
Ag1 Ag 0.000 0.000 0.500
```

The 10 most intense peaks (10 to 80 degrees two-theta), in order of rising 2θ:
- (0 1 0), 5.120 Å, I 52.4
- (1 0 1), 4.487 Å, I 100.0
- (1 1 1), 3.374 Å, I 45.1
- (0 1 2), 3.360 Å, I 23.1
- (0 2 0), 2.560 Å, I 31.5
- (1 1 3), 2.302 Å, I 57.5
- (2 0 2), 2.243 Å, I 20.8
- (0 0 4), 2.224 Å, I 52.7
- (2 1 2), 2.055 Å, I 56.6
- (0 1 4), 2.042 Å, I 25.2